Computed XRD peak list of TiS4N4Cl4 for Cu Kα, from the PBE geometry in the Materials Project.
Neutral-atom scattering factors, no anomalous dispersion.

Largest 10 diffraction maxima, low angle first, 2θ = 5–70°:
2θ 9.77, intensity 43
2θ 11.75, intensity 70
2θ 12.53, intensity 70
2θ 15.53, intensity 100
2θ 17.93, intensity 93
2θ 19.60, intensity 64
2θ 23.56, intensity 43
2θ 24.45, intensity 40
2θ 31.51, intensity 51
2θ 32.98, intensity 56

```
data_TiS4N4Cl4
_chemical_formula_sum 'Ti4 S16 N16 Cl16'
_space_group_name_H-M_alt 'P 1'
_space_group_IT_number 1
_space_group_name_Hall 'P 1'
_cell_length_a 11.3966
_cell_length_b 8.7381
_cell_length_c 15.1022
_cell_angle_alpha 90.00
_cell_angle_beta 127.37
_cell_angle_gamma 90.00
loop_
_atom_site_label
_atom_site_fract_x
_atom_site_fract_y
_atom_site_fract_z
Ti1 0.2427 0.2282 0.1489
Ti2 0.2427 0.2718 0.6489
Ti3 0.7573 0.7282 0.3511
Ti4 0.7573 0.7718 0.8511
S1 0.0337 0.6444 0.3263
S2 0.0337 0.8556 0.8263
S3 0.1449 0.6581 0.5480
S4 0.1449 0.8419 0.0480
S5 0.2750 0.0116 0.9739
S6 0.2750 0.4884 0.4739
S7 0.2872 0.6992 0.9815
S8 0.2872 0.8008 0.4815
S9 0.7128 0.1992 0.5185
S10 0.7128 0.3008 0.0185
S11 0.7250 0.5116 0.5261
S12 0.7250 0.9884 0.0261
S13 0.8551 0.1581 0.9520
S14 0.8551 0.3419 0.4520
S15 0.9663 0.1444 0.1737
S16 0.9663 0.3556 0.6737
N1 0.0042 0.1547 0.0835
N2 0.0042 0.3453 0.5835
N3 0.1353 0.7068 0.8554
N4 0.1353 0.7932 0.3554
N5 0.2298 0.9999 0.0597
N6 0.2298 0.5001 0.5597
N7 0.3704 0.6398 0.4995
N8 0.3704 0.8602 0.9995
N9 0.6296 0.1398 0.0005
N10 0.6296 0.3602 0.5005
N11 0.7702 0.0001 0.9403
N12 0.7702 0.4999 0.4403
N13 0.8647 0.2068 0.6446
N14 0.8647 0.2932 0.1446
N15 0.9958 0.6547 0.4165
N16 0.9958 0.8453 0.9165
Cl1 0.1196 0.1746 0.4702
Cl2 0.1196 0.3254 0.9702
Cl3 0.2285 0.0549 0.7207
Cl4 0.2285 0.4451 0.2207
Cl5 0.3098 0.0730 0.2942
Cl6 0.3098 0.4270 0.7942
Cl7 0.4688 0.2400 0.6966
Cl8 0.4688 0.2600 0.1966
Cl9 0.5312 0.7400 0.8034
Cl10 0.5312 0.7600 0.3034
Cl11 0.6902 0.5730 0.2058
Cl12 0.6902 0.9270 0.7058
Cl13 0.7715 0.5549 0.7793
Cl14 0.7715 0.9451 0.2793
Cl15 0.8804 0.6746 0.0298
Cl16 0.8804 0.8254 0.5298
```


Computed XRD peak list of Ca2Mg5Si8O24 for Cu Kα, from the PBE geometry in the Materials Project.
Neutral-atom scattering factors, no anomalous dispersion.

Largest 10 diffraction maxima, low angle first, 2θ = 5–70°:
2θ 9.62, intensity 55
2θ 10.33, intensity 68
2θ 17.98, intensity 35
2θ 25.96, intensity 62
2θ 26.76, intensity 43
2θ 28.09, intensity 73
2θ 29.93, intensity 43
2θ 32.56, intensity 100
2θ 35.04, intensity 60
2θ 37.90, intensity 32

```
data_Ca2Mg5Si8O24
_chemical_formula_sum 'Ca2 Mg5 Si8 O24'
_space_group_name_H-M_alt 'P 1'
_space_group_IT_number 1
_space_group_name_Hall 'P 1'
_cell_length_a 10.4623
_cell_length_b 10.4623
_cell_length_c 5.3352
_cell_angle_alpha 96.90
_cell_angle_beta 96.90
_cell_angle_gamma 122.92
loop_
_atom_site_label
_atom_site_fract_x
_atom_site_fract_y
_atom_site_fract_z
Ca1 0.2215 0.7785 0.0000
Ca2 0.7785 0.2215 0.0000
Mg1 0.3221 0.6779 0.5000
Mg2 0.4061 0.5939 0.0000
Mg3 0.5000 0.5000 0.5000
Mg4 0.5939 0.4061 0.0000
Mg5 0.6779 0.3221 0.5000
Si1 0.0406 0.3819 0.6976
Si2 0.1373 0.3048 0.2068
Si3 0.3048 0.1373 0.2068
Si4 0.3819 0.0406 0.6976
Si5 0.6181 0.9594 0.3024
Si6 0.6952 0.8627 0.7932
Si7 0.8627 0.6952 0.7932
Si8 0.9594 0.6181 0.3024
O1 0.0221 0.2874 0.4056
O2 0.0377 0.2776 0.9179
O3 0.1141 0.6214 0.2942
O4 0.1661 0.1661 0.2053
O5 0.2079 0.5533 0.7764
O6 0.2776 0.0377 0.9179
O7 0.2874 0.0221 0.4056
O8 0.3013 0.4762 0.2887
O9 0.3786 0.8858 0.7058
O10 0.4146 0.4146 0.8192
O11 0.4467 0.7921 0.2236
O12 0.4762 0.3013 0.2887
O13 0.5238 0.6987 0.7113
O14 0.5533 0.2079 0.7764
O15 0.5854 0.5854 0.1808
O16 0.6214 0.1142 0.2942
O17 0.6987 0.5238 0.7113
O18 0.7126 0.9779 0.5944
O19 0.7224 0.9623 0.0821
O20 0.7921 0.4467 0.2236
O21 0.8339 0.8339 0.7947
O22 0.8859 0.3786 0.7058
O23 0.9623 0.7224 0.0821
O24 0.9779 0.7126 0.5944
```


Computed XRD peak list of ZrVCuS4 for Cu Kα, from the PBE geometry in the Materials Project.
Neutral-atom scattering factors, no anomalous dispersion.

Largest 10 diffraction maxima, low angle first, 2θ = 5–70°:
2θ 15.07, intensity 19
2θ 24.75, intensity 24
2θ 28.96, intensity 100
2θ 29.22, intensity 53
2θ 35.07, intensity 43
2θ 35.50, intensity 21
2θ 46.11, intensity 33
2θ 50.35, intensity 19
2θ 50.54, intensity 20
2θ 50.76, intensity 77

```
data_ZrVCuS4
_chemical_formula_sum 'Zr2 V2 Cu2 S8'
_space_group_name_H-M_alt 'P 1'
_space_group_IT_number 1
_space_group_name_Hall 'P 1'
_cell_length_a 7.1949
_cell_length_b 7.1949
_cell_length_c 7.1949
_cell_angle_alpha 119.73
_cell_angle_beta 119.50
_cell_angle_gamma 90.67
loop_
_atom_site_label
_atom_site_fract_x
_atom_site_fract_y
_atom_site_fract_z
Zr1 0.0000 0.0000 0.0000
Zr2 0.5000 0.0000 0.5000
V1 0.5000 0.0000 0.0000
V2 0.5000 0.5000 0.5000
Cu1 0.1201 0.3701 0.7500
Cu2 0.8799 0.6299 0.2500
S1 0.2583 0.2595 0.5012
S2 0.2583 0.7571 0.9988
S3 0.2666 0.7467 0.5200
S4 0.2733 0.2533 0.0200
S5 0.7267 0.7467 0.9800
S6 0.7334 0.2533 0.4800
S7 0.7417 0.2429 0.0012
S8 0.7417 0.7405 0.4988
```


Computed XRD peak list of PuTiO3 for Cu Kα, from the PBE geometry in the Materials Project.
Neutral-atom scattering factors, no anomalous dispersion.

Largest 7 diffraction maxima, low angle first, 2θ = 5–70°:
2θ 22.70, intensity 47
2θ 32.32, intensity 100
2θ 39.86, intensity 30
2θ 46.35, intensity 28
2θ 52.21, intensity 24
2θ 57.64, intensity 40
2θ 67.64, intensity 17

```
data_PuTiO3
_chemical_formula_sum 'Pu1 Ti1 O3'
_space_group_name_H-M_alt 'P 1'
_space_group_IT_number 1
_space_group_name_Hall 'P 1'
_cell_length_a 3.9175
_cell_length_b 3.9175
_cell_length_c 3.9175
_cell_angle_alpha 90.00
_cell_angle_beta 90.00
_cell_angle_gamma 90.00
loop_
_atom_site_label
_atom_site_fract_x
_atom_site_fract_y
_atom_site_fract_z
Pu1 0.0000 0.0000 0.0000
Ti1 0.5000 0.5000 0.5000
O1 0.0000 0.5000 0.5000
O2 0.5000 0.0000 0.5000
O3 0.5000 0.5000 0.0000
```


Computed XRD peak list of Rb2Zn5As4 for Cu Kα, from the PBE geometry in the Materials Project.
Neutral-atom scattering factors, no anomalous dispersion.

Largest 10 diffraction maxima, low angle first, 2θ = 5–70°:
2θ 28.87, intensity 51
2θ 29.89, intensity 100
2θ 32.66, intensity 98
2θ 33.48, intensity 35
2θ 33.77, intensity 74
2θ 33.91, intensity 51
2θ 37.99, intensity 40
2θ 44.61, intensity 77
2θ 50.32, intensity 54
2θ 50.98, intensity 28

```
data_Rb2Zn5As4
_chemical_formula_sum 'Rb4 Zn10 As8'
_space_group_name_H-M_alt 'P 1'
_space_group_IT_number 1
_space_group_name_Hall 'P 1'
_cell_length_a 6.9272
_cell_length_b 6.9272
_cell_length_c 11.8884
_cell_angle_alpha 90.00
_cell_angle_beta 90.00
_cell_angle_gamma 63.13
loop_
_atom_site_label
_atom_site_fract_x
_atom_site_fract_y
_atom_site_fract_z
Rb1 0.2168 0.2168 0.0000
Rb2 0.2168 0.2168 0.5000
Rb3 0.7832 0.7832 0.0000
Rb4 0.7832 0.7832 0.5000
Zn1 0.0090 0.9910 0.7500
Zn2 0.2391 0.4740 0.7500
Zn3 0.3463 0.6537 0.1085
Zn4 0.3463 0.6537 0.3915
Zn5 0.4740 0.2391 0.2500
Zn6 0.5260 0.7609 0.7500
Zn7 0.6537 0.3463 0.6085
Zn8 0.6537 0.3463 0.8915
Zn9 0.7609 0.5260 0.2500
Zn10 0.9910 0.0090 0.2500
As1 0.0871 0.6021 0.2500
As2 0.2824 0.7176 0.5999
As3 0.2824 0.7176 0.9001
As4 0.3979 0.9129 0.2500
As5 0.6021 0.0871 0.7500
As6 0.7176 0.2824 0.0999
As7 0.7176 0.2824 0.4001
As8 0.9129 0.3979 0.7500
```


Computed XRD peak list of NdAl4Co for Cu Kα, from the PBE geometry in the Materials Project.
Neutral-atom scattering factors, no anomalous dispersion.

Largest 10 diffraction maxima, low angle first, 2θ = 5–70°:
2θ 22.03, intensity 44
2θ 23.13, intensity 50
2θ 28.41, intensity 53
2θ 32.15, intensity 51
2θ 34.76, intensity 51
2θ 36.24, intensity 100
2θ 41.05, intensity 21
2θ 44.05, intensity 26
2θ 44.92, intensity 28
2θ 49.78, intensity 25

```
data_NdAl4Co
_chemical_formula_sum 'Nd2 Al8 Co2'
_space_group_name_H-M_alt 'P 1'
_space_group_IT_number 1
_space_group_name_Hall 'P 1'
_cell_length_a 7.6898
_cell_length_b 4.0357
_cell_length_c 6.8840
_cell_angle_alpha 90.00
_cell_angle_beta 90.00
_cell_angle_gamma 90.00
loop_
_atom_site_label
_atom_site_fract_x
_atom_site_fract_y
_atom_site_fract_z
Nd1 0.2500 0.0000 0.1166
Nd2 0.7500 0.0000 0.8834
Al1 0.0000 0.0000 0.5000
Al2 0.0707 0.5000 0.8007
Al3 0.2500 0.5000 0.4583
Al4 0.4293 0.5000 0.8007
Al5 0.5000 0.0000 0.5000
Al6 0.5707 0.5000 0.1993
Al7 0.7500 0.5000 0.5417
Al8 0.9293 0.5000 0.1993
Co1 0.2500 0.0000 0.6837
Co2 0.7500 0.0000 0.3163
```


Computed XRD peak list of Mg for Cu Kα, from the PBE geometry in the Materials Project.
Neutral-atom scattering factors, no anomalous dispersion.

Largest 8 diffraction maxima, low angle first, 2θ = 5–70°:
2θ 32.27, intensity 24
2θ 35.01, intensity 26
2θ 36.84, intensity 100
2θ 48.35, intensity 15
2θ 57.55, intensity 17
2θ 63.99, intensity 18
2θ 67.54, intensity 3
2θ 69.17, intensity 19

```
data_Mg
_chemical_formula_sum 'Mg2'
_space_group_name_H-M_alt 'P 1'
_space_group_IT_number 1
_space_group_name_Hall 'P 1'
_cell_length_a 3.2030
_cell_length_b 3.2030
_cell_length_c 5.1267
_cell_angle_alpha 90.00
_cell_angle_beta 90.00
_cell_angle_gamma 120.00
loop_
_atom_site_label
_atom_site_fract_x
_atom_site_fract_y
_atom_site_fract_z
Mg1 0.3333 0.6667 0.2500
Mg2 0.6667 0.3333 0.7500
```